Th2Cu2Ni3: simulated powder XRD pattern (Cu Kα X-rays), based on a DFT-relaxed cell (PBE, Alexandria).
Intensities are scaled so that the largest is 100.

Structural model:
```
Th2Cu2Ni3
1.0
1.9588 -8.8953 0.0000
1.9588 8.8953 0.0000
0.0000 0.0000 7.0042
Th Cu Ni
4 4 6
direct
0.0644 0.9356 0.7500 Th
0.1546 0.8454 0.2500 Th
0.8454 0.1546 0.7500 Th
0.9356 0.0644 0.2500 Th
0.3072 0.6928 0.0597 Cu
0.3072 0.6928 0.4403 Cu
0.6928 0.3072 0.5597 Cu
0.6928 0.3072 0.9403 Cu
0.2269 0.7731 0.7500 Ni
0.4403 0.5597 0.5708 Ni
0.4403 0.5597 0.9292 Ni
0.5597 0.4403 0.0708 Ni
0.5597 0.4403 0.4292 Ni
0.7731 0.2269 0.2500 Ni
```

Peak list (6 most intense, 2θ = 10–90°, low angle first)
| 2θ (°) | Rel. int. |
| --- | --- |
| 23.70 | 27 |
| 25.43 | 23 |
| 34.73 | 81 |
| 36.44 | 100 |
| 43.79 | 36 |
| 46.35 | 27 |

Ac8La5Ho: simulated powder XRD pattern (Cu Kα X-rays), based on a DFT-relaxed cell (PBE, Alexandria).
Intensities are scaled so that the largest is 100.

Structural model:
```
Ac8La5Ho
1.0
-5.2104 5.2104 5.4282
5.2104 -5.2104 5.4282
5.2104 5.2104 -5.4282
Ac La Ho
8 5 1
direct
0.1842 0.4133 0.6037 Ac
0.3299 0.2253 0.2386 Ac
0.4195 0.8158 0.2291 Ac
0.5867 0.1904 0.7709 Ac
0.7747 0.0132 0.1046 Ac
0.8096 0.5805 0.3963 Ac
0.9086 0.6701 0.8954 Ac
0.9868 0.0914 0.7614 Ac
0.0739 0.4718 0.1988 La
0.1249 0.9261 0.3979 La
0.2730 0.8751 0.8012 La
0.5282 0.7270 0.6021 La
0.7500 0.2500 0.5000 La
0.5000 0.5000 0.0000 Ho
```

Peak list (6 most intense, 2θ = 10–90°, low angle first)
| 2θ (°) | Rel. int. |
| --- | --- |
| 26.07 | 79 |
| 26.95 | 71 |
| 27.06 | 90 |
| 31.29 | 100 |
| 31.77 | 63 |
| 32.05 | 58 |